(1)
Al37Fe12Cu2: simulated XRD peak list (Cu Kα), based on a PBE-relaxed structure.
No peak broadening, texture or thermal motion is included.

Peak list (12 most intense, 5 to 70 degrees two-theta, by intensity)
two_theta	d [Å]	intensity
43.52	2.080	100
45.01	2.014	90
46.21	1.964	46
44.20	2.049	45
43.80	2.067	40
44.81	2.023	37
25.71	3.465	34
22.06	4.029	32
22.62	3.931	27
24.20	3.677	18
15.75	5.626	16
27.88	3.200	16

Atomic structure:
abc: 8.6805 8.6805 12.4148
angles: 106.13 106.13 53.82
Atoms (fractional coordinates):
Al: 0.0000 0.0000 0.0000
Al: 0.0144 0.0144 0.5048
Al: 0.0315 0.5892 0.6110
Al: 0.0598 0.6057 0.9457
Al: 0.0708 0.5713 0.2769
Al: 0.0827 0.0827 0.3235
Al: 0.0874 0.0874 0.7355
Al: 0.1597 0.7472 0.7996
Al: 0.1702 0.7309 0.1632
Al: 0.2394 0.2394 0.4925
Al: 0.2494 0.2494 0.6975
Al: 0.2622 0.2622 0.1029
Al: 0.2841 0.7177 0.6147
Al: 0.2905 0.7231 0.3874
Al: 0.3501 0.9224 0.1642
Al: 0.3560 0.9265 0.9390
Al: 0.3873 0.3873 0.4519
Al: 0.3964 0.3964 0.8644
Al: 0.4778 0.8984 0.3857
Al: 0.4827 0.8954 0.7542
Al: 0.5545 0.5545 0.2193
Al: 0.5538 0.5538 0.8181
Al: 0.5713 0.0708 0.2769
Al: 0.5892 0.0315 0.6110
Al: 0.6057 0.0598 0.9457
Al: 0.6292 0.6292 0.0474
Al: 0.6420 0.6420 0.5536
Al: 0.7177 0.2841 0.6147
Al: 0.7231 0.2905 0.3874
Al: 0.7309 0.1702 0.1632
Al: 0.7472 0.1597 0.7996
Al: 0.8016 0.8016 0.1076
Al: 0.8414 0.8414 0.4447
Al: 0.8954 0.4827 0.7542
Al: 0.8984 0.4778 0.3857
Al: 0.9224 0.3501 0.1642
Al: 0.9265 0.3560 0.9390
Fe: 0.2313 0.2313 0.2880
Fe: 0.2336 0.2336 0.8889
Fe: 0.3001 0.7110 0.9980
Fe: 0.3440 0.9369 0.5525
Fe: 0.4042 0.4042 0.6579
Fe: 0.4120 0.4120 0.2716
Fe: 0.7110 0.3001 0.9980
Fe: 0.7191 0.7191 0.9070
Fe: 0.7225 0.7225 0.2617
Fe: 0.9194 0.9194 0.2900
Fe: 0.9248 0.9248 0.6458
Fe: 0.9369 0.3440 0.5525
Cu: 0.4014 0.4014 0.0603
Cu: 0.8214 0.8214 0.7772


(2)
Al7FeCu2: simulated XRD peak list (Cu Kα), based on a PBE-relaxed structure.
No peak broadening, texture or thermal motion is included.

Peak list (12 most intense, 5 to 70 degrees two-theta, by intensity)
two_theta	d [Å]	intensity
40.18	2.244	100
44.36	2.042	94
45.82	1.980	65
45.36	2.000	65
22.90	3.884	63
11.98	7.385	36
42.26	2.139	32
23.27	3.823	32
30.78	2.905	18
24.10	3.692	17
66.12	1.413	17
36.66	2.451	13

Atomic structure:
abc: 6.3198 6.3198 14.7690
angles: 90.00 90.00 90.00
Atoms (fractional coordinates):
Al: 0.0000 0.0000 0.1337
Al: 0.0000 0.0000 0.8663
Al: 0.0855 0.2939 0.3994
Al: 0.0855 0.2939 0.6006
Al: 0.1621 0.6621 0.2500
Al: 0.1621 0.6621 0.7500
Al: 0.2061 0.4145 0.1006
Al: 0.2061 0.4145 0.8994
Al: 0.2939 0.9145 0.3994
Al: 0.2939 0.9145 0.6006
Al: 0.3379 0.1621 0.2500
Al: 0.3379 0.1621 0.7500
Al: 0.4145 0.7939 0.1006
Al: 0.4145 0.7939 0.8994
Al: 0.5000 0.5000 0.3663
Al: 0.5000 0.5000 0.6337
Al: 0.5855 0.2061 0.1006
Al: 0.5855 0.2061 0.8994
Al: 0.6621 0.8379 0.2500
Al: 0.6621 0.8379 0.7500
Al: 0.7061 0.0855 0.3994
Al: 0.7061 0.0855 0.6006
Al: 0.7939 0.5855 0.1006
Al: 0.7939 0.5855 0.8994
Al: 0.8379 0.3379 0.2500
Al: 0.8379 0.3379 0.7500
Al: 0.9145 0.7061 0.3994
Al: 0.9145 0.7061 0.6006
Fe: 0.0000 0.0000 0.2994
Fe: 0.0000 0.0000 0.7006
Fe: 0.5000 0.5000 0.2006
Fe: 0.5000 0.5000 0.7994
Cu: 0.0849 0.7269 0.0000
Cu: 0.2269 0.5849 0.5000
Cu: 0.2731 0.0849 0.0000
Cu: 0.4151 0.2269 0.5000
Cu: 0.5849 0.7731 0.5000
Cu: 0.7269 0.9151 0.0000
Cu: 0.7731 0.4151 0.5000
Cu: 0.9151 0.2731 0.0000


(3)
UAl7Fe3Cu2: simulated XRD peak list (Cu Kα), based on a PBE-relaxed structure.
No peak broadening, texture or thermal motion is included.

Peak list (12 most intense, 5 to 70 degrees two-theta, by intensity)
two_theta	d [Å]	intensity
41.54	2.174	100
29.17	3.061	50
41.80	2.161	49
14.52	6.099	49
28.91	3.088	49
41.23	2.190	49
14.27	6.209	42
20.45	4.343	37
35.84	2.506	35
41.66	2.168	34
41.36	2.183	34
20.41	4.351	24

Atomic structure:
abc: 6.5952 6.5952 8.6735
angles: 130.22 130.22 44.72
Atoms (fractional coordinates):
U: 0.0000 0.0000 0.0000
Al: 0.0055 0.0055 0.6675
Al: 0.2906 0.2906 0.7955
Al: 0.3467 0.3467 0.3590
Al: 0.4957 0.4957 0.2262
Al: 0.6525 0.6525 0.6760
Al: 0.7074 0.7074 0.2085
Al: 0.9893 0.9893 0.3409
Fe: 0.0017 0.4939 0.0076
Fe: 0.4939 0.0017 0.0076
Fe: 0.5066 0.5066 0.7888
Cu: 0.4992 0.9965 0.5062
Cu: 0.9965 0.4992 0.5062


(4)
AlGaCu2Se2S2: simulated XRD peak list (Cu Kα), based on a PBE-relaxed structure.
No peak broadening, texture or thermal motion is included.

Peak list (12 most intense, 5 to 70 degrees two-theta, by intensity)
two_theta	d [Å]	intensity
28.16	3.169	100
46.88	1.938	46
46.68	1.946	24
55.39	1.659	21
55.76	1.649	13
22.84	3.894	8
36.57	2.457	8
55.47	1.656	7
40.36	2.235	5
16.23	5.460	5
18.05	4.915	4
68.07	1.377	4

Atomic structure:
abc: 7.7788 10.9197 5.4982
angles: 90.00 134.91 90.00
Atoms (fractional coordinates):
Al: 0.0000 0.0000 0.0000
Al: 0.5000 0.5000 0.0000
Ga: 0.0000 0.7386 0.5000
Ga: 0.5000 0.2386 0.5000
Cu: 0.0000 0.2302 0.5000
Cu: 0.0000 0.5042 0.0000
Cu: 0.5000 0.0042 0.0000
Cu: 0.5000 0.7302 0.5000
Se: 0.2450 0.3693 0.4983
Se: 0.2550 0.8693 0.5017
Se: 0.7450 0.8693 0.4983
Se: 0.7550 0.3693 0.5017
S: 0.2479 0.1168 0.0027
S: 0.2521 0.6168 0.9973
S: 0.7479 0.6168 0.0027
S: 0.7521 0.1168 0.9973


(5)
AlGaCu2Se4: simulated XRD peak list (Cu Kα), based on a PBE-relaxed structure.
No peak broadening, texture or thermal motion is included.

Peak list (12 most intense, 5 to 70 degrees two-theta, by intensity)
two_theta	d [Å]	intensity
27.44	3.251	100
45.67	1.987	47
53.84	1.703	29
45.37	1.999	24
54.36	1.688	14
66.10	1.414	8
67.03	1.396	4
17.58	5.045	3
31.65	2.827	1
36.43	2.466	1
22.24	3.998	1
28.71	3.110	1

Atomic structure:
abc: 5.6541 5.6541 11.1693
angles: 90.00 90.00 90.00
Atoms (fractional coordinates):
Al: 0.0000 0.0000 0.0000
Al: 0.5000 0.5000 0.5000
Ga: 0.0000 0.5000 0.7500
Ga: 0.5000 0.0000 0.2500
Cu: 0.0000 0.0000 0.5000
Cu: 0.0000 0.5000 0.2500
Cu: 0.5000 0.0000 0.7500
Cu: 0.5000 0.5000 0.0000
Se: 0.2473 0.7476 0.1237
Se: 0.2476 0.2527 0.3763
Se: 0.2524 0.2473 0.8763
Se: 0.2527 0.7524 0.6237
Se: 0.7473 0.2476 0.6237
Se: 0.7476 0.7527 0.8763
Se: 0.7524 0.7473 0.3763
Se: 0.7527 0.2524 0.1237


(6)
GdAlCu4: simulated XRD peak list (Cu Kα), based on a PBE-relaxed structure.
No peak broadening, texture or thermal motion is included.

Peak list (12 most intense, 5 to 70 degrees two-theta, by intensity)
two_theta	d [Å]	intensity
41.33	2.184	100
29.69	3.009	77
40.15	2.246	53
61.65	1.505	29
44.72	2.027	27
34.59	2.593	26
66.59	1.404	23
58.99	1.566	22
57.74	1.597	12
19.77	4.492	9
46.21	1.964	8
61.98	1.497	5

Atomic structure:
abc: 5.1865 5.1865 4.0532
angles: 90.00 90.00 120.00
Atoms (fractional coordinates):
Gd: 0.0000 0.0000 0.0000
Al: 0.6667 0.3333 0.0000
Cu: 0.0016 0.5008 0.5000
Cu: 0.3333 0.6667 0.0000
Cu: 0.4992 0.5008 0.5000
Cu: 0.4992 0.9984 0.5000


(7)
GdAl6Cu6: simulated XRD peak list (Cu Kα), based on a PBE-relaxed structure.
No peak broadening, texture or thermal motion is included.

Peak list (12 most intense, 5 to 70 degrees two-theta, by intensity)
two_theta	d [Å]	intensity
41.49	2.177	100
41.09	2.197	73
29.06	3.073	59
14.47	6.120	46
42.03	2.150	41
41.69	2.167	37
46.42	1.956	36
41.23	2.189	34
60.23	1.537	28
29.18	3.060	27
35.96	2.497	23
28.91	3.088	21

Atomic structure:
abc: 6.6286 6.6286 6.6286
angles: 134.86 99.11 97.83
Atoms (fractional coordinates):
Gd: 0.0000 0.0000 0.0000
Al: 0.2031 0.7031 0.5000
Al: 0.3467 0.0000 0.3467
Al: 0.3490 0.3490 0.0000
Al: 0.6510 0.6510 0.0000
Al: 0.6533 0.0000 0.6533
Al: 0.7969 0.2969 0.5000
Cu: 0.0000 0.0000 0.5000
Cu: 0.0000 0.5000 0.0000
Cu: 0.2293 0.5000 0.7293
Cu: 0.5000 0.0000 0.0000
Cu: 0.5000 0.5000 0.5000
Cu: 0.7707 0.5000 0.2707